# Mg5In4Bi
Calculated XRD peak list, λ = 1.5418 Å (Cu Kα). Input: a structure optimized by DFT (GGA-PBE).
Intensities are scaled so that the largest is 100.

Main lines, by intensity (10° ≤ 2θ ≤ 90°):
hkl 1 0 5, 34.82 deg, d 2.577, rel. 100; hkl 1 0 0, 24.22 deg, d 3.675, rel. 59; hkl 1 1 0, 34.52 deg, d 2.598, rel. 52; hkl 2 1 5, 62.04 deg, d 1.496, rel. 37; hkl 0 0 5, 24.64 deg, d 3.613, rel. 30; hkl 1 1 5, 42.87 deg, d 2.110, rel. 26; hkl 2 0 0, 49.62 deg, d 1.837, rel. 18; hkl 1 1 10, 62.62 deg, d 1.483, rel. 17; hkl 2 0 5, 56.16 deg, d 1.638, rel. 12; hkl 2 1 0, 55.96 deg, d 1.643, rel. 12; hkl 1 0 10, 56.78 deg, d 1.621, rel. 11; hkl 2 0 10, 73.51 deg, d 1.288, rel. 10

Structural model:
abc: 3.6745 3.6745 18.0685
angles: 90.00 90.00 90.00
Fractional positions:
Mg 0.0000 0.0000 0.0000
Mg 0.0000 0.0000 0.1963
Mg 0.0000 0.0000 0.3914
Mg 0.0000 0.0000 0.6086
Mg 0.0000 0.0000 0.8037
In 0.5000 0.5000 0.0973
In 0.5000 0.5000 0.2942
In 0.5000 0.5000 0.7058
In 0.5000 0.5000 0.9027
Bi 0.5000 0.5000 0.5000